# 1
# NaCeMg17
Simulated powder XRD pattern, Cu Kα (λ = 1.5418 Å). Input: the GGA-PBE geometry in Alexandria.
No peak broadening, texture or thermal motion is included.

Main lines, low angle first (2θ from 5° to 70°):
| 2θ (°) | I_rel | index |
| --- | --- | --- |
| 11.4 | 60 | 1 0 1 |
| 15.2 | 34 | 0 1 2 |
| 24.5 | 43 | 1 1 3 |
| 28.8 | 25 | 1 2 2 |
| 29.9 | 44 | 3 0 0 |
| 30.7 | 28 | 0 2 4 |
| 34.7 | 55 | 2 2 0 |
| 34.8 | 100 | 0 3 3 |
| 35.1 | 29 | 0 0 6 |
| 35.5 | 23 | 2 0 5 |

Atomic structure:
Lattice parameters (Å, degrees): 10.3393 10.3393 15.3251 90.00 90.00 120.00
Space group R3m (No. 160, hexagonal axes)
Inequivalent atoms, fractional coordinates:
1 Na 0.0000 0.0000 0.0000 x3
2 Ce 0.0000 0.0000 0.6731 x3
3 Mg 0.0000 0.0000 0.2400 x3
4 Mg 0.0000 0.0000 0.4389 x3
5 Mg 0.0000 0.3015 0.3409 x18
6 Mg 0.0019 0.5010 0.4910 x9
7 Mg 0.1704 0.3407 0.5200 x9
8 Mg 0.1714 0.3428 0.1772 x9


# 2
# CeNdMg
Simulated powder XRD pattern, Cu Kα (λ = 1.5418 Å). Input: the GGA-PBE geometry in Alexandria.
No peak broadening, texture or thermal motion is included.

Main lines, low angle first (2θ from 5° to 70°):
| 2θ (°) | I_rel | index |
| --- | --- | --- |
| 11.7 | 25 | 0 0 2 |
| 23.5 | 12 | 0 0 4 |
| 26.6 | 25 | 1 0 1 |
| 31.5 | 100 | 1 0 3 |
| 35.6 | 17 | 0 0 6 |
| 37.0 | 33 | 1 1 0 |
| 52.3 | 23 | 1 1 6 |
| 61.4 | 13 | 1 0 9 |
| 63.2 | 27 | 2 1 3 |
| 65.8 | 12 | 2 0 6 |

Atomic structure:
Lattice parameters (Å, degrees): 3.439 3.439 15.113 90.00 90.00 90.00
Space group I4mm (No. 107)
Inequivalent atoms, fractional coordinates:
1 Ce 0.000 0.000 0.000 x2
2 Nd 0.000 0.000 0.678 x2
3 Mg 0.000 0.000 0.340 x2


# 3
# CeMgNi17
Simulated powder XRD pattern, Cu Kα (λ = 1.5418 Å). Input: the GGA-PBE geometry in Alexandria.
No peak broadening, texture or thermal motion is included.

Main lines, low angle first (2θ from 5° to 70°):
| 2θ (°) | I_rel | index |
| --- | --- | --- |
| 14.4 | 24 | 1 0 1 |
| 37.9 | 35 | 3 0 0 |
| 39.1 | 29 | 0 2 4 |
| 44.0 | 62 | 2 2 0 |
| 44.3 | 100 | 3 0 3 |
| 45.1 | 49 | 0 0 6 |
| 45.4 | 21 | 2 0 5 |
| 49.8 | 62 | 2 2 3 |
| 50.6 | 15 | 1 1 6 |
| 64.9 | 21 | 2 2 6 |

Atomic structure:
Lattice parameters (Å, degrees): 8.2324 8.2324 12.0550 90.00 90.00 120.00
Space group R3m (No. 160, hexagonal axes)
Inequivalent atoms, fractional coordinates:
1 Ce 0.0000 0.0000 0.0000 x3
2 Mg 0.0000 0.0000 0.6801 x3
3 Ni 0.0000 0.0000 0.2427 x3
4 Ni 0.0000 0.0000 0.4419 x3
5 Ni 0.0005 0.5002 0.8420 x9
6 Ni 0.0007 0.2968 0.3415 x18
7 Ni 0.0030 0.5015 0.1880 x9
8 Ni 0.0040 0.5020 0.4944 x9


# 4
# Ce2Mg2Si4Ni
Simulated powder XRD pattern, Cu Kα (λ = 1.5418 Å). Input: the GGA-PBE geometry in Alexandria.
No peak broadening, texture or thermal motion is included.

Main lines, low angle first (2θ from 5° to 70°):
| 2θ (°) | I_rel | index |
| --- | --- | --- |
| 20.1 | 35 | 1 1 0 |
| 28.5 | 46 | 2 0 0 |
| 29.1 | 100 | 1 1 2 |
| 35.6 | 89 | 2 0 2 |
| 40.8 | 57 | 2 2 0 |
| 42.4 | 23 | 0 0 4 |
| 50.8 | 41 | 3 1 2 |
| 51.9 | 15 | 2 0 4 |
| 59.0 | 18 | 4 0 0 |
| 60.2 | 32 | 2 2 4 |

Atomic structure:
Lattice parameters (Å, degrees): 6.262 6.262 8.535 90.00 90.00 90.00
Space group I4/mmm (No. 139)
Inequivalent atoms, fractional coordinates:
1 Ce 0.000 0.500 0.250 x4
2 Mg 0.000 0.000 0.208 x4
3 Si 0.238 0.238 0.000 x8
4 Ni 0.000 0.000 0.500 x2


# 5
# CeYMg2Ni8
Simulated powder XRD pattern, Cu Kα (λ = 1.5418 Å). Input: the GGA-PBE geometry in Alexandria.
No peak broadening, texture or thermal motion is included.

Main lines, low angle first (2θ from 5° to 70°):
| 2θ (°) | I_rel | index |
| --- | --- | --- |
| 21.9 | 16 | 0 1 2 |
| 25.4 | 16 | 1 0 4 |
| 36.2 | 28 | 1 1 0 |
| 42.7 | 100 | 2 0 2 |
| 44.7 | 39 | 0 0 12 |
| 52.1 | 3 | 2 0 8 |
| 57.2 | 4 | 0 2 10 |
| 58.8 | 5 | 1 1 12 |
| 65.1 | 10 | 3 0 0 |
| 69.6 | 29 | 3 0 6 |

Atomic structure:
Lattice parameters (Å, degrees): 4.9615 4.9615 24.3329 90.00 90.00 120.00
Space group R3m (No. 160, hexagonal axes)
Inequivalent atoms, fractional coordinates:
1 Ce 0.0000 0.0000 0.0000 x3
2 Y 0.0000 0.0000 0.4994 x3
3 Mg 0.0000 0.0000 0.1264 x3
4 Mg 0.0000 0.0000 0.6231 x3
5 Ni 0.0000 0.0000 0.3117 x3
6 Ni 0.0000 0.0000 0.8119 x3
7 Ni 0.1680 0.3360 0.8964 x9
8 Ni 0.1689 0.3377 0.3954 x9


# 6
# CeMg3Pb3
Simulated powder XRD pattern, Cu Kα (λ = 1.5418 Å). Input: the GGA-PBE geometry in Alexandria.
No peak broadening, texture or thermal motion is included.

Main lines, low angle first (2θ from 5° to 70°):
| 2θ (°) | I_rel | index |
| --- | --- | --- |
| 11.0 | 41 | 1 0 0 |
| 26.2 | 61 | 1 1 1 |
| 28.4 | 21 | 2 0 1 |
| 29.3 | 46 | 2 1 0 |
| 34.4 | 100 | 2 1 1 |
| 36.0 | 25 | 0 0 2 |
| 47.0 | 26 | 2 1 2 |
| 51.9 | 16 | 1 4 0 |
| 63.7 | 30 | 2 1 3 |
| 64.8 | 16 | 1 4 2 |

Atomic structure:
Lattice parameters (Å, degrees): 9.3277 9.3277 4.9904 90.00 90.00 120.00
Space group P6_3/m (No. 176)
Inequivalent atoms, fractional coordinates:
1 Ce 0.3333 0.6667 0.2500 x2
2 Mg 0.0459 0.2229 0.2500 x6
3 Pb 0.0837 0.4322 0.7500 x6


# 7
# CeMg2Pb3
Simulated powder XRD pattern, Cu Kα (λ = 1.5418 Å). Input: the GGA-PBE geometry in Alexandria.
No peak broadening, texture or thermal motion is included.

Main lines, low angle first (2θ from 5° to 70°):
| 2θ (°) | I_rel | index |
| --- | --- | --- |
| 19.7 | 23 | 0 0 1 |
| 25.6 | 25 | 1 3 0 |
| 32.5 | 100 | 1 3 1 |
| 36.5 | 18 | 0 6 0 |
| 36.7 | 18 | 2 0 0 |
| 40.0 | 14 | 0 0 2 |
| 52.7 | 13 | 2 6 0 |
| 63.2 | 15 | 1 9 1 |
| 63.5 | 15 | 3 3 1 |
| 68.0 | 12 | 1 3 3 |

Atomic structure:
Lattice parameters (Å, degrees): 4.899 14.775 4.509 90.00 90.00 90.00
Space group Cmmm (No. 65)
Inequivalent atoms, fractional coordinates:
1 Ce 0.000 0.000 0.000 x2
2 Mg 0.000 0.327 0.000 x4
3 Pb 0.000 0.169 0.500 x4
4 Pb 0.000 0.500 0.500 x2


# 8
# Ce3MgPb4
Simulated powder XRD pattern, Cu Kα (λ = 1.5418 Å). Input: the GGA-PBE geometry in Alexandria.
No peak broadening, texture or thermal motion is included.

Main lines, low angle first (2θ from 5° to 70°):
| 2θ (°) | I_rel | index |
| --- | --- | --- |
| 20.7 | 19 | 1 1 1 |
| 31.9 | 94 | 2 0 2 |
| 32.0 | 100 | 2 2 0 |
| 34.5 | 38 | 4 0 0 |
| 38.3 | 58 | 0 2 2 |
| 52.5 | 47 | 4 2 2 |
| 60.2 | 31 | 6 0 2 |
| 65.1 | 25 | 2 2 4 |
| 65.3 | 25 | 2 4 2 |
| 66.6 | 12 | 4 0 4 |

Atomic structure:
Lattice parameters (Å, degrees): 10.400 6.634 6.674 90.00 90.00 90.00
Space group Pmn2_1 (No. 31)
Inequivalent atoms, fractional coordinates:
1 Ce 0.000 0.004 0.000 x2
2 Ce 0.250 0.244 0.250 x4
3 Mg 0.000 0.500 0.499 x2
4 Pb 0.000 0.001 0.500 x2
5 Pb 0.000 0.502 0.999 x2
6 Pb 0.249 0.746 0.250 x4


# 9
# Ce2Mg5Sn3Pb2
Simulated powder XRD pattern, Cu Kα (λ = 1.5418 Å). Input: the GGA-PBE geometry in Alexandria.
No peak broadening, texture or thermal motion is included.

Main lines, low angle first (2θ from 5° to 70°):
| 2θ (°) | I_rel | index |
| --- | --- | --- |
| 20.1 | 27 | 1 0 1 |
| 23.5 | 58 | 1 0 5 |
| 24.8 | 26 | 0 0 10 |
| 26.5 | 90 | 1 0 7 |
| 28.4 | 100 | 1 1 0 |
| 34.8 | 27 | 1 1 8 |
| 38.0 | 53 | 1 1 10 |
| 38.3 | 37 | 1 0 13 |
| 40.6 | 57 | 2 0 0 |
| 49.1 | 35 | 2 1 7 |

Atomic structure:
Lattice parameters (Å, degrees): 4.448 4.448 35.924 90.00 90.00 90.00
Space group I4/mmm (No. 139)
Inequivalent atoms, fractional coordinates:
1 Ce 0.000 0.000 0.215 x4
2 Mg 0.000 0.000 0.000 x2
3 Mg 0.000 0.500 0.137 x8
4 Sn 0.000 0.000 0.306 x4
5 Sn 0.000 0.000 0.500 x2
6 Pb 0.000 0.000 0.080 x4


# 10
# CeMg5Pd6
Simulated powder XRD pattern, Cu Kα (λ = 1.5418 Å). Input: the GGA-PBE geometry in Alexandria.
No peak broadening, texture or thermal motion is included.

Main lines, low angle first (2θ from 5° to 70°):
| 2θ (°) | I_rel | index |
| --- | --- | --- |
| 27.0 | 16 | 1 0 1 |
| 27.1 | 15 | 0 2 0 |
| 27.9 | 15 | 1 0 -2 |
| 38.6 | 71 | 1 2 1 |
| 39.0 | 34 | 2 0 -1 |
| 39.3 | 100 | 0 0 3 |
| 55.6 | 12 | 2 0 2 |
| 55.8 | 11 | 0 4 0 |
| 57.6 | 12 | 2 0 -4 |
| 70.0 | 12 | 3 2 0 |

Atomic structure:
Lattice parameters (Å, degrees): 4.616 6.586 7.190 90.00 106.84 90.00
Space group P2/m (No. 10)
Inequivalent atoms, fractional coordinates:
1 Ce 0.000 0.000 0.000 x1
2 Mg 0.000 0.500 0.000 x1
3 Mg 0.329 0.000 0.652 x2
4 Mg 0.335 0.500 0.670 x2
5 Pd 0.168 0.259 0.338 x4
6 Pd 0.500 0.263 0.000 x2


# 11
# CeMg2Zn2Pd
Simulated powder XRD pattern, Cu Kα (λ = 1.5418 Å). Input: the GGA-PBE geometry in Alexandria.
No peak broadening, texture or thermal motion is included.

Main lines, low angle first (2θ from 5° to 70°):
| 2θ (°) | I_rel | index |
| --- | --- | --- |
| 25.0 | 100 | 1 1 0 |
| 29.8 | 30 | 1 1 2 |
| 32.4 | 37 | 0 0 4 |
| 35.6 | 67 | 2 0 0 |
| 41.3 | 41 | 1 1 4 |
| 48.9 | 45 | 2 0 4 |
| 51.2 | 23 | 2 2 0 |
| 57.8 | 19 | 3 1 0 |
| 61.9 | 22 | 2 2 4 |
| 67.8 | 21 | 0 0 8 |

Atomic structure:
Lattice parameters (Å, degrees): 5.047 5.047 11.059 90.00 90.00 90.00
Space group I4/mmm (No. 139)
Inequivalent atoms, fractional coordinates:
1 Ce 0.000 0.000 0.000 x2
2 Mg 0.000 0.500 0.250 x4
3 Zn 0.000 0.000 0.279 x4
4 Pd 0.000 0.000 0.500 x2


# 12
# CePm6Mg
Simulated powder XRD pattern, Cu Kα (λ = 1.5418 Å). Input: the GGA-PBE geometry in Alexandria.
No peak broadening, texture or thermal motion is included.

Main lines, low angle first (2θ from 5° to 70°):
| 2θ (°) | I_rel | index |
| --- | --- | --- |
| 8.7 | 4 | 0 0 2 |
| 18.1 | 5 | 1 0 1 |
| 30.5 | 100 | 1 1 4 |
| 35.2 | 17 | 0 0 8 |
| 35.5 | 34 | 2 0 0 |
| 50.9 | 24 | 2 0 8 |
| 51.1 | 12 | 2 2 0 |
| 60.3 | 14 | 1 1 12 |
| 60.7 | 28 | 3 1 4 |
| 63.5 | 12 | 2 2 8 |

Atomic structure:
Lattice parameters (Å, degrees): 5.060 5.060 20.383 90.00 90.00 90.00
Space group I4/mmm (No. 139)
Inequivalent atoms, fractional coordinates:
1 Ce 0.000 0.000 0.000 x2
2 Pm 0.000 0.000 0.247 x4
3 Pm 0.000 0.500 0.122 x8
4 Mg 0.000 0.000 0.500 x2


Q: Which formula does entry 1 have?
A: NaCeMg17